No. 1
Structure and computed powder XRD pattern of MgTe6Mo2W2S2 (a GGA-PBE-relaxed structure; Cu Ka).

Cell and atoms:
```
data_MgTe6Mo2W2S2
_cell_length_a 3.4504
_cell_length_b 3.4504
_cell_length_c 38.5535
_cell_angle_alpha 90.00
_cell_angle_beta 90.01
_cell_angle_gamma 120.00
_symmetry_space_group_name_H-M 'P 1'
_symmetry_Int_Tables_number 1
_symmetry_space_group_name_Hall 'P 1'
loop_
_atom_site_label
_atom_site_type_symbol
_atom_site_fract_x
_atom_site_fract_y
_atom_site_fract_z
_atom_site_occupancy
Mg1 Mg 0.0000 0.0000 0.0000 1
Te1 Te 0.0913 0.0790 0.1682 1
Te2 Te 0.0913 0.0791 0.2648 1
Te3 Te 0.4247 0.7460 0.3577 1
Te4 Te 0.4248 0.7460 0.4538 1
Te5 Te 0.4247 0.7460 0.7327 1
Te6 Te 0.4248 0.7460 0.8293 1
Mo1 Mo 0.0914 0.0793 0.4057 1
Mo2 Mo 0.4248 0.7460 0.5928 1
W1 W 0.0914 0.0793 0.7811 1
W2 W 0.4246 0.7457 0.2164 1
S1 S 0.0914 0.0793 0.5542 1
S2 S 0.0915 0.0794 0.6314 1
```

The 8 most intense peaks (15 to 90 degrees two-theta), in order of rising 2θ:
two_theta	I_rel
29.91	46
35.34	100
38.10	23
42.97	48
53.09	32
65.39	17
75.64	16
89.02	16

***

No. 2
Structure and computed powder XRD pattern of Ba7Cd31 (a GGA-PBE-relaxed structure; Cu Ka).

Cell and atoms:
```
data_Ba7Cd31
_cell_length_a 10.8313
_cell_length_b 10.8313
_cell_length_c 10.5543
_cell_angle_alpha 90.00
_cell_angle_beta 90.00
_cell_angle_gamma 120.00
_symmetry_space_group_name_H-M 'P 1'
_symmetry_Int_Tables_number 1
_symmetry_space_group_name_Hall 'P 1'
loop_
_atom_site_label
_atom_site_type_symbol
_atom_site_fract_x
_atom_site_fract_y
_atom_site_fract_z
_atom_site_occupancy
Ba1 Ba 0.0000 0.0000 0.0000 1
Ba2 Ba 0.1659 0.3318 0.5000 1
Ba3 Ba 0.1659 0.8341 0.5000 1
Ba4 Ba 0.3333 0.6667 0.0000 1
Ba5 Ba 0.6667 0.3333 0.2120 1
Ba6 Ba 0.6667 0.3333 0.7880 1
Ba7 Ba 0.6682 0.8341 0.5000 1
Cd1 Cd 0.0000 0.0000 0.3494 1
Cd2 Cd 0.0000 0.0000 0.6506 1
Cd3 Cd 0.0346 0.5173 0.2644 1
Cd4 Cd 0.0346 0.5173 0.7356 1
Cd5 Cd 0.1649 0.3297 0.1683 1
Cd6 Cd 0.1649 0.3297 0.8317 1
Cd7 Cd 0.1649 0.8351 0.1683 1
Cd8 Cd 0.1649 0.8351 0.8317 1
Cd9 Cd 0.2987 0.1493 0.2596 1
Cd10 Cd 0.2987 0.1493 0.7404 1
Cd11 Cd 0.3333 0.6667 0.3536 1
Cd12 Cd 0.3333 0.6667 0.6464 1
Cd13 Cd 0.3934 0.0601 0.0000 1
Cd14 Cd 0.3934 0.3333 0.0000 1
Cd15 Cd 0.4669 0.2334 0.5000 1
Cd16 Cd 0.4827 0.5173 0.2644 1
Cd17 Cd 0.4827 0.5173 0.7356 1
Cd18 Cd 0.4827 0.9654 0.2644 1
Cd19 Cd 0.4827 0.9654 0.7356 1
Cd20 Cd 0.6667 0.0601 0.0000 1
Cd21 Cd 0.6667 0.6066 0.0000 1
Cd22 Cd 0.6703 0.8351 0.1683 1
Cd23 Cd 0.6703 0.8351 0.8317 1
Cd24 Cd 0.7666 0.2334 0.5000 1
Cd25 Cd 0.7666 0.5331 0.5000 1
Cd26 Cd 0.8507 0.1493 0.2596 1
Cd27 Cd 0.8507 0.1493 0.7404 1
Cd28 Cd 0.8507 0.7013 0.2596 1
Cd29 Cd 0.8507 0.7013 0.7404 1
Cd30 Cd 0.9399 0.3333 0.0000 1
Cd31 Cd 0.9399 0.6066 0.0000 1
```

The 8 most intense peaks (15 to 90 degrees two-theta), in order of rising 2θ:
two_theta	I_rel
30.37	80
31.80	98
33.08	100
33.98	22
37.32	41
38.53	32
51.69	24
58.28	38

***

No. 3
Structure and computed powder XRD pattern of Sr2CdCuS2O2 (a GGA-PBE-relaxed structure; Cu Ka).

Cell and atoms:
```
data_Sr2CdCuS2O2
_cell_length_a 10.1402
_cell_length_b 10.1402
_cell_length_c 10.1402
_cell_angle_alpha 157.55
_cell_angle_beta 157.55
_cell_angle_gamma 31.96
_symmetry_space_group_name_H-M 'P 1'
_symmetry_Int_Tables_number 1
_symmetry_space_group_name_Hall 'P 1'
loop_
_atom_site_label
_atom_site_type_symbol
_atom_site_fract_x
_atom_site_fract_y
_atom_site_fract_z
_atom_site_occupancy
Sr1 Sr 0.0878 0.0878 0.0000 1
Sr2 Sr 0.9122 0.9122 0.0000 1
Cd1 Cd 0.7500 0.2500 0.5000 1
Cu1 Cu 0.5000 0.5000 0.0000 1
S1 S 0.3366 0.3366 0.0000 1
S2 S 0.6634 0.6634 0.0000 1
O1 O 0.5012 0.0012 0.5000 1
O2 O 0.9988 0.4988 0.5000 1
```

The 8 most intense peaks (15 to 90 degrees two-theta), in order of rising 2θ:
two_theta	I_rel
22.98	44
26.42	27
32.27	100
33.39	44
37.11	41
39.60	50
45.98	46
57.28	37

***

No. 4
Structure and computed powder XRD pattern of KCN2 (a GGA-PBE-relaxed structure; Cu Ka).

Cell and atoms:
```
data_KCN2
_cell_length_a 5.7128
_cell_length_b 5.7128
_cell_length_c 5.7128
_cell_angle_alpha 112.57
_cell_angle_beta 112.57
_cell_angle_gamma 103.43
_symmetry_space_group_name_H-M 'P 1'
_symmetry_Int_Tables_number 1
_symmetry_space_group_name_Hall 'P 1'
loop_
_atom_site_label
_atom_site_type_symbol
_atom_site_fract_x
_atom_site_fract_y
_atom_site_fract_z
_atom_site_occupancy
K1 K 0.2500 0.2500 0.0000 1
K2 K 0.7500 0.7500 0.0000 1
C1 C 0.0000 0.5000 0.5000 1
C2 C 0.5000 0.0000 0.5000 1
N1 N 0.1380 0.6380 0.7760 1
N2 N 0.3620 0.1380 0.5000 1
N3 N 0.6380 0.8620 0.5000 1
N4 N 0.8620 0.3620 0.2240 1
```

The 8 most intense peaks (15 to 90 degrees two-theta), in order of rising 2θ:
two_theta	I_rel
19.80	12
28.14	41
32.22	100
34.05	18
38.10	18
40.22	17
45.22	18
52.44	14

***

No. 5
Structure and computed powder XRD pattern of BaSiH2O4 (a GGA-PBE-relaxed structure; Cu Ka).

Cell and atoms:
```
data_BaSiH2O4
_cell_length_a 7.2215
_cell_length_b 7.6125
_cell_length_c 7.6860
_cell_angle_alpha 91.22
_cell_angle_beta 92.82
_cell_angle_gamma 102.23
_symmetry_space_group_name_H-M 'P 1'
_symmetry_Int_Tables_number 1
_symmetry_space_group_name_Hall 'P 1'
loop_
_atom_site_label
_atom_site_type_symbol
_atom_site_fract_x
_atom_site_fract_y
_atom_site_fract_z
_atom_site_occupancy
Ba1 Ba 0.0850 0.2109 0.1956 1
Ba2 Ba 0.4098 0.2994 0.6958 1
Ba3 Ba 0.5902 0.7006 0.3042 1
Ba4 Ba 0.9150 0.7891 0.8044 1
Si1 Si 0.1067 0.7459 0.2727 1
Si2 Si 0.4170 0.7613 0.7820 1
Si3 Si 0.5830 0.2387 0.2180 1
Si4 Si 0.8933 0.2541 0.7273 1
H1 H 0.0533 0.6083 0.5241 1
H2 H 0.2360 0.5914 0.9904 1
H3 H 0.2894 0.9110 0.5007 1
H4 H 0.3906 0.0490 0.9914 1
H5 H 0.6094 0.9510 0.0086 1
H6 H 0.7106 0.0890 0.4993 1
H7 H 0.7640 0.4086 0.0096 1
H8 H 0.9467 0.3917 0.4759 1
O1 O 0.0253 0.3339 0.5536 1
O2 O 0.0276 0.1639 0.8535 1
O3 O 0.2053 0.5919 0.1931 1
O4 O 0.2629 0.5876 0.8607 1
O5 O 0.2760 0.9102 0.3695 1
O6 O 0.3041 0.9153 0.7253 1
O7 O 0.4267 0.1714 0.0417 1
O8 O 0.4661 0.3256 0.3575 1
O9 O 0.5339 0.6744 0.6425 1
O10 O 0.5733 0.8286 0.9583 1
O11 O 0.6959 0.0847 0.2747 1
O12 O 0.7240 0.0898 0.6305 1
O13 O 0.7371 0.4124 0.1393 1
O14 O 0.7947 0.4081 0.8069 1
O15 O 0.9724 0.8361 0.1465 1
O16 O 0.9747 0.6661 0.4464 1
```

The 8 most intense peaks (15 to 90 degrees two-theta), in order of rising 2θ:
two_theta	I_rel
15.37	47
23.19	95
23.93	100
25.79	36
27.26	66
28.47	83
32.98	67
38.78	36

***

No. 6
Structure and computed powder XRD pattern of Eu3Si6N4O9 (a GGA-PBE-relaxed structure; Cu Ka).

Cell and atoms:
```
data_Eu3Si6N4O9
_cell_length_a 7.1708
_cell_length_b 7.1708
_cell_length_c 6.6600
_cell_angle_alpha 90.00
_cell_angle_beta 90.00
_cell_angle_gamma 120.00
_symmetry_space_group_name_H-M 'P 1'
_symmetry_Int_Tables_number 1
_symmetry_space_group_name_Hall 'P 1'
loop_
_atom_site_label
_atom_site_type_symbol
_atom_site_fract_x
_atom_site_fract_y
_atom_site_fract_z
_atom_site_occupancy
Eu1 Eu 0.0000 0.0000 0.0000 1
Eu2 Eu 0.3333 0.6667 0.1463 1
Eu3 Eu 0.6667 0.3333 0.0417 1
Si1 Si 0.0755 0.6274 0.6886 1
Si2 Si 0.2625 0.0425 0.4640 1
Si3 Si 0.3726 0.4481 0.6886 1
Si4 Si 0.5519 0.9245 0.6886 1
Si5 Si 0.7800 0.7375 0.4640 1
Si6 Si 0.9575 0.2200 0.4640 1
N1 N 0.0383 0.7949 0.5270 1
N2 N 0.2051 0.2434 0.5270 1
N3 N 0.3333 0.6667 0.6476 1
N4 N 0.7566 0.9617 0.5270 1
O1 O 0.0338 0.6598 0.9223 1
O2 O 0.3256 0.0386 0.2313 1
O3 O 0.3402 0.3740 0.9223 1
O4 O 0.4540 0.0823 0.6272 1
O5 O 0.6260 0.9662 0.9223 1
O6 O 0.6283 0.5460 0.6272 1
O7 O 0.7130 0.6744 0.2313 1
O8 O 0.9177 0.3717 0.6272 1
O9 O 0.9614 0.2870 0.2313 1
```

The 8 most intense peaks (15 to 90 degrees two-theta), in order of rising 2θ:
two_theta	I_rel
24.83	39
26.77	15
28.27	100
30.46	32
36.84	26
43.73	23
45.91	24
52.89	15